# Te2Mo
Theoretical X-ray powder pattern, Cu Kα (weighted mean of Kα1 and Kα2). Input: a structure optimized by DFT (PBE).
Neutral-atom scattering factors, no anomalous dispersion.

```
6
Lattice="3.5587 0.0000 0.0000 -1.7794 3.0819 0.0000 0.0000 0.0000 15.3466" Properties=species:S:1:pos:R:3 pbc="T T T"
Te 0.0000 2.0546 2.0270
Te 0.0000 2.0546 5.6463
Te 1.7794 1.0273 9.7003
Te 1.7794 1.0273 13.3197
Mo 0.0000 2.0546 11.5100
Mo 1.7794 1.0273 3.8367
```

Peak list (10 most intense, 5 to 70 degrees two-theta, most intense first)
Position (°2θ)  Rel. int.
33.96  100
41.52  87
11.53  70
28.97  49
51.35  39
23.18  20
68.08  20
29.56  17
63.00  16
47.39  15

***

# Te2Mo
Theoretical X-ray powder pattern, Cu Kα (weighted mean of Kα1 and Kα2). Input: a structure optimized by DFT (PBE).
Neutral-atom scattering factors, no anomalous dispersion.

```
3
Lattice="3.5587 0.0000 0.0000 -1.7794 3.0819 0.0000 0.0000 0.0000 17.6733" Properties=species:S:1:pos:R:3 pbc="T T T"
Te 0.0000 0.0000 1.8097
Te 0.0000 0.0000 15.8636
Mo 1.7794 1.0273 0.0000
```

Peak list (10 most intense, 5 to 70 degrees two-theta, most intense first)
Position (°2θ)  Rel. int.
5.00  100
10.01  8
38.76  6
35.51  6
29.42  4
28.97  3
42.45  3
51.65  3
32.80  3
51.35  2

***

# Te2Mo
Theoretical X-ray powder pattern, Cu Kα (weighted mean of Kα1 and Kα2). Input: a structure optimized by DFT (PBE).
Neutral-atom scattering factors, no anomalous dispersion.

```
12
Lattice="6.3662 0.0000 0.0000 0.0000 3.4869 0.0000 -0.6478 0.0000 15.5344" Properties=species:S:1:pos:R:3 pbc="T T T"
Te 0.1295 0.8717 6.2954
Te 0.4954 2.6152 2.0699
Te 2.0813 2.6152 14.0602
Te 2.3655 0.8717 9.8375
Te 3.3529 2.6152 5.6969
Te 3.6371 0.8717 1.4742
Te 5.2230 0.8717 13.4645
Te 5.5889 2.6152 9.2390
Mo 1.1528 0.8717 0.1006
Mo 1.7070 2.6152 7.8683
Mo 4.0114 0.8717 7.6661
Mo 4.5656 2.6152 15.4338
```

Peak list (10 most intense, 5 to 70 degrees two-theta, most intense first)
Position (°2θ)  Rel. int.
11.39  100
31.22  46
31.66  45
33.72  26
34.36  19
50.51  16
28.89  15
32.42  15
22.90  15
41.00  15

***

# Tl4Te3Mo
Theoretical X-ray powder pattern, Cu Kα (weighted mean of Kα1 and Kα2). Input: a structure optimized by DFT (PBE).
Neutral-atom scattering factors, no anomalous dispersion.

```
16
Lattice="-4.3098 4.3098 6.7141 4.3098 -4.3098 6.7141 4.3098 4.3098 -6.7141" Properties=species:S:1:pos:R:3 pbc="T T T"
Tl 3.0640 -1.2458 2.1673
Tl 5.5557 -1.2458 4.5468
Tl 5.5557 1.2458 2.1673
Tl 3.0640 1.2458 4.5468
Tl 1.2458 3.0640 2.1673
Tl -1.2458 3.0640 4.5468
Tl -1.2458 5.5557 2.1673
Tl 1.2458 5.5557 4.5468
Te 2.8228 1.4870 0.0000
Te 0.0000 0.0000 3.3570
Te 2.8228 -1.4870 6.7141
Te 1.4870 5.7969 0.0000
Te 0.0000 0.0000 10.0711
Te 1.4870 2.8228 6.7141
Mo 0.0000 0.0000 0.0000
Mo 0.0000 0.0000 6.7141
```

Peak list (10 most intense, 5 to 70 degrees two-theta, most intense first)
Position (°2θ)  Rel. int.
30.61  100
32.86  41
61.53  19
48.03  12
30.40  10
67.29  10
52.94  10
40.30  10
61.66  10
59.55  8

***

# Te6Mo2W
Theoretical X-ray powder pattern, Cu Kα (weighted mean of Kα1 and Kα2). Input: a structure optimized by DFT (PBE).
Neutral-atom scattering factors, no anomalous dispersion.

```
9
Lattice="3.5524 0.0000 0.0000 -1.7762 3.0764 0.0000 0.0000 0.0000 32.5711" Properties=species:S:1:pos:R:3 pbc="T T T"
Te 0.0000 0.0000 1.8161
Te 0.0000 0.0000 30.7550
Te 0.0000 2.0510 5.7203
Te 0.0000 2.0510 9.3484
Te 0.0000 2.0510 23.2227
Te 0.0000 2.0510 26.8508
Mo 0.0000 0.0000 7.5346
Mo 0.0000 0.0000 25.0365
W 0.0000 2.0510 0.0000
```

Peak list (10 most intense, 5 to 70 degrees two-theta, most intense first)
Position (°2θ)  Rel. int.
10.87  100
34.96  80
5.43  74
42.37  62
33.48  59
29.02  48
51.47  48
40.33  38
8.14  18
29.16  16

***

# Te4MoW
Theoretical X-ray powder pattern, Cu Kα (weighted mean of Kα1 and Kα2). Input: a structure optimized by DFT (PBE).
Neutral-atom scattering factors, no anomalous dispersion.

```
6
Lattice="3.5523 0.0000 0.0000 -1.7762 3.0764 0.0000 0.0000 0.0000 25.0486" Properties=species:S:1:pos:R:3 pbc="T T T"
Te 0.0000 0.0000 0.0000
Te 0.0000 0.0000 3.6297
Te 0.0000 2.0509 17.5088
Te 0.0000 2.0509 21.1427
Mo 0.0000 2.0509 1.8152
W 0.0000 0.0000 19.3250
```

Peak list (10 most intense, 5 to 70 degrees two-theta, most intense first)
Position (°2θ)  Rel. int.
10.60  100
34.20  78
7.06  69
41.13  61
36.27  35
29.03  34
51.45  27
29.25  27
43.87  22
32.42  17

***

# Te4MoW
Theoretical X-ray powder pattern, Cu Kα (weighted mean of Kα1 and Kα2). Input: a structure optimized by DFT (PBE).
Neutral-atom scattering factors, no anomalous dispersion.

```
12
Lattice="3.5596 0.0000 0.0000 -1.7798 3.0827 0.0000 0.0000 0.0000 40.1077" Properties=species:S:1:pos:R:3 pbc="T T T"
Te 0.0000 2.0551 9.4921
Te 0.0000 2.0551 13.1123
Te 0.0000 2.0551 34.5232
Te 0.0000 2.0551 38.1573
Te 1.7798 1.0276 1.9505
Te 1.7798 1.0276 5.5846
Te 1.7798 1.0276 26.9954
Te 1.7798 1.0276 30.6156
Mo 0.0000 2.0551 28.8049
Mo 1.7798 1.0276 11.3028
W 0.0000 2.0551 3.7673
W 1.7798 1.0276 36.3405
```

Peak list (10 most intense, 5 to 70 degrees two-theta, most intense first)
Position (°2θ)  Rel. int.
34.14  100
11.03  96
41.41  69
51.35  44
28.96  43
43.11  24
67.98  18
6.61  17
35.41  17
63.10  17

***

# Te4MoW
Theoretical X-ray powder pattern, Cu Kα (weighted mean of Kα1 and Kα2). Input: a structure optimized by DFT (PBE).
Neutral-atom scattering factors, no anomalous dispersion.

```
12
Lattice="3.5567 0.0000 0.0000 -1.7784 3.0802 0.0000 0.0000 0.0000 40.1360" Properties=species:S:1:pos:R:3 pbc="T T T"
Te 0.0000 2.0535 9.4921
Te 0.0000 2.0535 13.1279
Te 0.0000 2.0535 34.5517
Te 0.0000 2.0535 38.1804
Te 1.7784 1.0267 1.9556
Te 1.7784 1.0267 5.5843
Te 1.7784 1.0267 27.0081
Te 1.7784 1.0267 30.6439
Mo 0.0000 2.0535 3.7700
Mo 1.7784 1.0267 36.3660
W 0.0000 2.0535 28.8254
W 1.7784 1.0267 11.3106
```

Peak list (10 most intense, 5 to 70 degrees two-theta, most intense first)
Position (°2θ)  Rel. int.
34.16  100
11.02  90
41.41  66
6.61  52
28.99  43
51.39  39
43.11  19
63.15  17
36.78  17
68.03  15